Entry 1:
Starting from a PBE-relaxed structure, the powder diffraction line list of Tb4Nd2SmHo was computed for Cu Kα (weighted mean of Kα1 and Kα2).
Kinematic intensities with the Lorentz-polarization factor, no thermal factor.

```
data_Tb4Nd2SmHo
_space_group_name_H-M_alt 'C 1 2/c 1'
_space_group_IT_number 15
_space_group_name_Hall '-C 2yc'
_cell_length_a 13.7028
_cell_length_b 13.3114
_cell_length_c 6.8489
_cell_angle_alpha 90.00
_cell_angle_beta 119.98
_cell_angle_gamma 90.00
loop_
_atom_site_label
_atom_site_fract_x
_atom_site_fract_y
_atom_site_fract_z
_atom_site_occupancy
Tb1 0.0001 0.2454 0.0004 1
Tb2 0.2461 0.0003 0.4953 1
Nd1 0.0000 0.5000 0.0000 1
Nd2 0.2500 0.2500 0.0000 1
Sm1 0.2500 0.2500 0.5000 1
Ho1 0.0000 0.0000 0.0000 1
```

Top 6 peaks for 10 to 80 degrees two-theta, by angle:
- (0 4 0), 3.328 Å, intensity 45
- (0 0 2), 2.966 Å, intensity 100
- (0 4 2), 2.214 Å, intensity 88
- (4 0 -4), 1.713 Å, intensity 20
- (4 4 -4), 1.523 Å, intensity 27
- (0 8 2), 1.451 Å, intensity 23

=====

Entry 2:
Starting from a PBE-relaxed structure, the powder diffraction line list of TbNd6SmHo2 was computed for Cu Kα (weighted mean of Kα1 and Kα2).
Kinematic intensities with the Lorentz-polarization factor, no thermal factor.

```
data_TbNd6SmHo2
_space_group_name_H-M_alt 'C 1 2/c 1'
_space_group_IT_number 15
_space_group_name_Hall '-C 2yc'
_cell_length_a 9.2812
_cell_length_b 15.3291
_cell_length_c 9.7197
_cell_angle_alpha 90.00
_cell_angle_beta 97.77
_cell_angle_gamma 90.00
loop_
_atom_site_label
_atom_site_fract_x
_atom_site_fract_y
_atom_site_fract_z
_atom_site_occupancy
Tb1 0.0000 0.0287 0.2500 1
Nd1 0.0635 0.1766 0.9452 1
Nd2 0.0980 0.3920 0.1192 1
Nd3 0.2108 0.2243 0.3149 1
Sm1 0.0000 0.4085 0.7500 1
Ho1 0.2461 0.0485 0.5463 1
```

Top 6 peaks for 10 to 80 degrees two-theta, by angle:
- (1 3 2), 3.172 Å, intensity 42
- (3 1 -1), 2.984 Å, intensity 53
- (0 2 3), 2.961 Å, intensity 47
- (1 5 0), 2.908 Å, intensity 38
- (2 2 2), 2.889 Å, intensity 100
- (1 3 -3), 2.692 Å, intensity 37

=====

Entry 3:
Starting from a PBE-relaxed structure, the powder diffraction line list of Tb2NdSmHo5 was computed for Cu Kα (weighted mean of Kα1 and Kα2).
Kinematic intensities with the Lorentz-polarization factor, no thermal factor.

```
data_Tb2NdSmHo5
_space_group_name_H-M_alt 'I 4/m c m'
_space_group_IT_number 140
_space_group_name_Hall '-I 4 2c'
_cell_length_a 8.8130
_cell_length_b 8.8130
_cell_length_c 15.0230
_cell_angle_alpha 90.00
_cell_angle_beta 90.00
_cell_angle_gamma 90.00
loop_
_atom_site_label
_atom_site_fract_x
_atom_site_fract_y
_atom_site_fract_z
_atom_site_occupancy
Tb1 0.1149 0.3851 0.0000 1
Nd1 0.0000 0.0000 0.2500 1
Sm1 0.0000 0.5000 0.2500 1
Ho1 0.0000 0.0000 0.0000 1
Ho2 0.2054 0.2946 0.3664 1
```

Top 6 peaks for 10 to 80 degrees two-theta, by angle:
- (2 2 0), 3.116 Å, intensity 51
- (2 1 3), 3.097 Å, intensity 52
- (2 0 4), 2.858 Å, intensity 100
- (3 2 1), 2.413 Å, intensity 20
- (4 0 2), 2.115 Å, intensity 23
- (4 2 4), 1.745 Å, intensity 19

=====

Entry 4:
Starting from a PBE-relaxed structure, the powder diffraction line list of NdSm2Ho2Th2 was computed for Cu Kα (weighted mean of Kα1 and Kα2).
Kinematic intensities with the Lorentz-polarization factor, no thermal factor.

```
data_NdSm2Ho2Th2
_space_group_name_H-M_alt 'C 1 2/m 1'
_space_group_IT_number 12
_space_group_name_Hall '-C 2y'
_cell_length_a 11.6125
_cell_length_b 3.4415
_cell_length_c 12.0354
_cell_angle_alpha 90.00
_cell_angle_beta 102.82
_cell_angle_gamma 90.00
loop_
_atom_site_label
_atom_site_fract_x
_atom_site_fract_y
_atom_site_fract_z
_atom_site_occupancy
Nd1 0.0000 0.0000 0.0000 1
Sm1 0.2050 0.5000 0.8604 1
Ho1 0.1533 0.5000 0.5679 1
Th1 0.0949 0.5000 0.2790 1
```

Top 6 peaks for 10 to 80 degrees two-theta, by angle:
- (1 1 0), 3.293 Å, intensity 44
- (2 0 3), 2.929 Å, intensity 100
- (4 0 -1), 2.903 Å, intensity 81
- (2 0 -4), 2.879 Å, intensity 86
- (1 1 -3), 2.603 Å, intensity 47
- (3 1 0), 2.543 Å, intensity 56

=====

Entry 5:
Starting from a PBE-relaxed structure, the powder diffraction line list of NdSm6Ho2Th was computed for Cu Kα (weighted mean of Kα1 and Kα2).
Kinematic intensities with the Lorentz-polarization factor, no thermal factor.

```
data_NdSm6Ho2Th
_space_group_name_H-M_alt 'C 1 2/c 1'
_space_group_IT_number 15
_space_group_name_Hall '-C 2yc'
_cell_length_a 9.3720
_cell_length_b 14.9795
_cell_length_c 9.6742
_cell_angle_alpha 90.00
_cell_angle_beta 97.27
_cell_angle_gamma 90.00
loop_
_atom_site_label
_atom_site_fract_x
_atom_site_fract_y
_atom_site_fract_z
_atom_site_occupancy
Nd1 0.0000 0.0947 0.2500 1
Sm1 0.0652 0.3257 0.4410 1
Sm2 0.0938 0.1091 0.6178 1
Sm3 0.2037 0.2793 0.8161 1
Ho1 0.2442 0.4537 0.0518 1
Th1 0.0000 0.4680 0.7500 1
```

Top 6 peaks for 10 to 80 degrees two-theta, by angle:
- (1 3 2), 3.150 Å, intensity 67
- (3 1 -1), 3.002 Å, intensity 65
- (0 2 3), 2.942 Å, intensity 65
- (2 2 2), 2.900 Å, intensity 82
- (2 4 -1), 2.853 Å, intensity 100
- (1 5 -1), 2.763 Å, intensity 39

=====

Entry 6:
Starting from a PBE-relaxed structure, the powder diffraction line list of NdSmHoTh2 was computed for Cu Kα (weighted mean of Kα1 and Kα2).
Kinematic intensities with the Lorentz-polarization factor, no thermal factor.

```
data_NdSmHoTh2
_space_group_name_H-M_alt 'C m c m'
_space_group_IT_number 63
_space_group_name_Hall '-C 2c 2'
_cell_length_a 6.7014
_cell_length_b 15.7359
_cell_length_c 6.7107
_cell_angle_alpha 90.00
_cell_angle_beta 90.00
_cell_angle_gamma 90.00
loop_
_atom_site_label
_atom_site_fract_x
_atom_site_fract_y
_atom_site_fract_z
_atom_site_occupancy
Nd1 0.0000 0.1519 0.2500 1
Sm1 0.0000 0.2598 0.7500 1
Ho1 0.0000 0.3489 0.2500 1
Th1 0.2471 0.5000 0.0000 1
```

Top 6 peaks for 10 to 80 degrees two-theta, by angle:
- (2 2 0), 3.085 Å, intensity 100
- (0 6 0), 2.622 Å, intensity 38
- (2 4 0), 2.552 Å, intensity 37
- (2 0 2), 2.371 Å, intensity 41
- (2 6 2), 1.759 Å, intensity 30
- (2 2 4), 1.473 Å, intensity 23

=====

Entry 7:
Starting from a PBE-relaxed structure, the powder diffraction line list of Nd6SmHo2Tm was computed for Cu Kα (weighted mean of Kα1 and Kα2).
Kinematic intensities with the Lorentz-polarization factor, no thermal factor.

```
data_Nd6SmHo2Tm
_space_group_name_H-M_alt 'C 1 2/c 1'
_space_group_IT_number 15
_space_group_name_Hall '-C 2yc'
_cell_length_a 9.2970
_cell_length_b 15.3172
_cell_length_c 9.6411
_cell_angle_alpha 90.00
_cell_angle_beta 97.05
_cell_angle_gamma 90.00
loop_
_atom_site_label
_atom_site_fract_x
_atom_site_fract_y
_atom_site_fract_z
_atom_site_occupancy
Nd1 0.0607 0.1780 0.4454 1
Nd2 0.0977 0.3903 0.6172 1
Nd3 0.2149 0.2220 0.8120 1
Sm1 0.0000 0.0276 0.7500 1
Ho1 0.2484 0.4510 0.9528 1
Tm1 0.0000 0.4120 0.2500 1
```

Top 6 peaks for 10 to 80 degrees two-theta, by angle:
- (1 3 2), 3.172 Å, intensity 41
- (3 1 -1), 2.981 Å, intensity 55
- (0 2 3), 2.945 Å, intensity 63
- (2 2 2), 2.903 Å, intensity 100
- (2 4 -1), 2.880 Å, intensity 39
- (1 3 -3), 2.672 Å, intensity 39

=====

Entry 8:
Starting from a PBE-relaxed structure, the powder diffraction line list of NdSmHo2Tm4 was computed for Cu Kα (weighted mean of Kα1 and Kα2).
Kinematic intensities with the Lorentz-polarization factor, no thermal factor.

```
data_NdSmHo2Tm4
_space_group_name_H-M_alt 'I m m a'
_space_group_IT_number 74
_space_group_name_Hall '-I 2b 2'
_cell_length_a 6.7648
_cell_length_b 11.7095
_cell_length_c 13.2215
_cell_angle_alpha 90.00
_cell_angle_beta 90.00
_cell_angle_gamma 90.00
loop_
_atom_site_label
_atom_site_fract_x
_atom_site_fract_y
_atom_site_fract_z
_atom_site_occupancy
Nd1 0.0000 0.0000 0.0000 1
Sm1 0.2500 0.2500 0.2500 1
Ho1 0.0000 0.0000 0.5000 1
Ho2 0.2500 0.2500 0.7500 1
Tm1 0.0000 0.0025 0.7483 1
Tm2 0.2487 0.2500 0.5023 1
```

Top 6 peaks for 10 to 80 degrees two-theta, by angle:
- (0 0 4), 3.305 Å, intensity 46
- (2 2 0), 2.928 Å, intensity 100
- (2 2 4), 2.192 Å, intensity 89
- (4 0 0), 1.691 Å, intensity 20
- (4 0 4), 1.505 Å, intensity 27
- (2 2 8), 1.439 Å, intensity 23

=====

Entry 9:
Starting from a PBE-relaxed structure, the powder diffraction line list of Nd5Sm2HoTm was computed for Cu Kα (weighted mean of Kα1 and Kα2).
Kinematic intensities with the Lorentz-polarization factor, no thermal factor.

```
data_Nd5Sm2HoTm
_space_group_name_H-M_alt 'I 4/m c m'
_space_group_IT_number 140
_space_group_name_Hall '-I 4 2c'
_cell_length_a 8.5711
_cell_length_b 8.5711
_cell_length_c 16.8826
_cell_angle_alpha 90.00
_cell_angle_beta 90.00
_cell_angle_gamma 90.00
loop_
_atom_site_label
_atom_site_fract_x
_atom_site_fract_y
_atom_site_fract_z
_atom_site_occupancy
Nd1 0.0000 0.0000 0.0000 1
Nd2 0.2176 0.2824 0.1430 1
Sm1 0.1222 0.3778 0.5000 1
Ho1 0.0000 0.0000 0.2500 1
Tm1 0.0000 0.5000 0.2500 1
```

Top 6 peaks for 10 to 80 degrees two-theta, by angle:
- (2 1 3), 3.168 Å, intensity 42
- (2 2 0), 3.030 Å, intensity 51
- (2 0 4), 3.007 Å, intensity 100
- (2 0 6), 2.353 Å, intensity 27
- (4 1 3), 1.951 Å, intensity 15
- (4 2 4), 1.745 Å, intensity 28

=====

Entry 10:
Starting from a PBE-relaxed structure, the powder diffraction line list of NdSm2Y6Ho was computed for Cu Kα (weighted mean of Kα1 and Kα2).
Kinematic intensities with the Lorentz-polarization factor, no thermal factor.

```
data_NdSm2Y6Ho
_space_group_name_H-M_alt 'C 1 2/c 1'
_space_group_IT_number 15
_space_group_name_Hall '-C 2yc'
_cell_length_a 9.1062
_cell_length_b 15.0171
_cell_length_c 9.8555
_cell_angle_alpha 90.00
_cell_angle_beta 100.29
_cell_angle_gamma 90.00
loop_
_atom_site_label
_atom_site_fract_x
_atom_site_fract_y
_atom_site_fract_z
_atom_site_occupancy
Nd1 0.0000 0.0959 0.2500 1
Sm1 0.2388 0.4508 0.0439 1
Y1 0.0663 0.3128 0.4438 1
Y2 0.1019 0.1030 0.6199 1
Y3 0.1981 0.2768 0.8167 1
Ho1 0.0000 0.4814 0.7500 1
```

Top 6 peaks for 10 to 80 degrees two-theta, by angle:
- (1 3 2), 3.114 Å, intensity 48
- (0 2 3), 2.969 Å, intensity 52
- (3 1 -1), 2.951 Å, intensity 55
- (1 5 0), 2.848 Å, intensity 100
- (2 2 2), 2.811 Å, intensity 84
- (1 3 -3), 2.714 Å, intensity 50

=====

Entry 11:
Starting from a PBE-relaxed structure, the powder diffraction line list of Nd2SmYHo6 was computed for Cu Kα (weighted mean of Kα1 and Kα2).
Kinematic intensities with the Lorentz-polarization factor, no thermal factor.

```
data_Nd2SmYHo6
_space_group_name_H-M_alt 'C 1 2/c 1'
_space_group_IT_number 15
_space_group_name_Hall '-C 2yc'
_cell_length_a 9.0150
_cell_length_b 15.0970
_cell_length_c 9.7185
_cell_angle_alpha 90.00
_cell_angle_beta 99.08
_cell_angle_gamma 90.00
loop_
_atom_site_label
_atom_site_fract_x
_atom_site_fract_y
_atom_site_fract_z
_atom_site_occupancy
Nd1 0.2437 0.0532 0.0419 1
Sm1 0.0000 0.4061 0.2500 1
Y1 0.0000 0.0180 0.7500 1
Ho1 0.0653 0.1907 0.4431 1
Ho2 0.1039 0.3951 0.6199 1
Ho3 0.1981 0.2244 0.8138 1
```

Top 6 peaks for 10 to 80 degrees two-theta, by angle:
- (0 2 3), 2.945 Å, intensity 64
- (3 1 -1), 2.914 Å, intensity 100
- (1 5 0), 2.859 Å, intensity 72
- (2 4 -1), 2.838 Å, intensity 52
- (2 2 2), 2.815 Å, intensity 93
- (1 3 -3), 2.684 Å, intensity 99

=====

Entry 12:
Starting from a PBE-relaxed structure, the powder diffraction line list of Nd2Sm2Y2Ho was computed for Cu Kα (weighted mean of Kα1 and Kα2).
Kinematic intensities with the Lorentz-polarization factor, no thermal factor.

```
data_Nd2Sm2Y2Ho
_space_group_name_H-M_alt 'R -3 m'
_space_group_IT_number 166
_space_group_name_Hall '-R 3 2"'
_cell_length_a 5.7454
_cell_length_b 5.7454
_cell_length_c 24.7237
_cell_angle_alpha 90.00
_cell_angle_beta 90.00
_cell_angle_gamma 120.00
loop_
_atom_site_label
_atom_site_fract_x
_atom_site_fract_y
_atom_site_fract_z
_atom_site_occupancy
Nd1 0.0000 0.0000 0.1391 1
Sm1 0.0000 0.0000 0.2851 1
Y1 0.0000 0.0000 0.4280 1
Ho1 0.0000 0.0000 0.0000 1
```

Top 6 peaks for 10 to 80 degrees two-theta, by angle:
- (1 1 0), 2.876 Å, intensity 100
- (0 2 7), 2.034 Å, intensity 18
- (0 1 14), 1.664 Å, intensity 10
- (3 0 0), 1.659 Å, intensity 29
- (1 2 14), 1.287 Å, intensity 8
- (1 3 7), 1.285 Å, intensity 8

=====

Which formula does entry 10 have?
NdSm2Y6Ho